Simulated X-ray powder pattern of Ba2YMgCu4O8 for CuKα, from a GGA-PBE-relaxed structure.
Intensities are scaled so that the largest is 100.

Largest 10 diffraction maxima, sorted by position, 5° ≤ 2θ ≤ 70°:
- d = 14.827 Å, 5.96°, intensity 43, hkl 0 0 1
- d = 3.334 Å, 26.74°, intensity 27, hkl 0 1 2
- d = 2.901 Å, 30.82°, intensity 41, hkl 1 0 -4
- d = 2.734 Å, 32.76°, intensity 100, hkl 1 1 0
- d = 2.630 Å, 34.08°, intensity 94, hkl 0 1 4
- d = 2.578 Å, 34.80°, intensity 27, hkl 1 0 4
- d = 2.024 Å, 44.78°, intensity 31, hkl 2 0 -1
- d = 1.866 Å, 48.80°, intensity 29, hkl 0 2 0
- d = 1.613 Å, 57.08°, intensity 35, hkl 2 1 3
- d = 1.595 Å, 57.82°, intensity 25, hkl 1 1 -8

Unit cell a=4.0488 b=3.7325 c=14.9318 alpha=90.00 beta=96.78 gamma=90.00
Space group P2/m (No. 10)
Symmetry-distinct sites (fractional):
1 Ba 0.1147 0.0000 0.2471 (multiplicity 2)
2 Y 0.0000 0.0000 0.0000 (multiplicity 1)
3 Mg 0.0000 0.0000 0.5000 (multiplicity 1)
4 Cu 0.3409 0.5000 0.5897 (multiplicity 2)
5 Cu 0.4481 0.5000 0.8907 (multiplicity 2)
6 O 0.0483 0.5000 0.1008 (multiplicity 2)
7 O 0.2089 0.5000 0.4493 (multiplicity 2)
8 O 0.3699 0.5000 0.7141 (multiplicity 2)
9 O 0.4546 0.0000 0.9050 (multiplicity 2)